[1]
Starting from a cell relaxed with PBE, the X-ray diffraction stick pattern of YV2Fe5Co5 was computed for Cu Kα (weighted mean of Kα1 and Kα2).

Top 10 peaks for 5° ≤ 2θ ≤ 70°, by intensity:
2θ/deg, d_spacing, Rel. int.
43.25, 2.092, 100
44.29, 2.045, 72
49.54, 1.840, 51
42.81, 2.112, 38
42.99, 2.104, 32
30.45, 2.935, 21
37.27, 2.413, 19
37.38, 2.406, 18
38.50, 2.338, 16
48.33, 1.883, 13

Structural model:
Unit cell a=6.405 b=6.405 c=6.405 alpha=137.17 beta=97.85 gamma=97.47
Atoms (fractional coordinates):
Y  0.000  0.000  0.000
V  0.360  0.360  0.000
V  0.644  0.644  0.000
Fe  0.000  0.002  0.499
Fe  0.000  0.501  0.998
Fe  0.227  0.727  0.500
Fe  0.503  0.002  0.002
Fe  0.503  0.501  0.501
Co  0.228  0.502  0.726
Co  0.359  0.000  0.359
Co  0.642  0.000  0.641
Co  0.776  0.502  0.274
Co  0.777  0.277  0.500


[2]
Starting from a cell relaxed with PBE, the X-ray diffraction stick pattern of BaCdSn was computed for Cu Kα (weighted mean of Kα1 and Kα2).

Top 10 peaks for 5° ≤ 2θ ≤ 70°, by intensity:
2θ/deg, d_spacing, Rel. int.
28.76, 3.104, 100
35.11, 2.556, 66
28.46, 3.136, 47
33.96, 2.640, 46
29.21, 3.058, 35
33.09, 2.707, 34
55.74, 1.649, 26
48.15, 1.890, 24
45.39, 1.998, 21
60.80, 1.523, 18

Structural model:
Unit cell a=6.661 b=6.661 c=8.538 alpha=129.84 beta=129.84 gamma=46.69
Atoms (fractional coordinates):
Ba  0.043  0.043  0.293
Ba  0.957  0.957  0.707
Cd  0.340  0.340  0.277
Cd  0.660  0.660  0.723
Sn  0.339  0.339  0.898
Sn  0.661  0.661  0.102


[3]
Starting from a cell relaxed with PBE, the X-ray diffraction stick pattern of LiBeB was computed for Cu Kα (weighted mean of Kα1 and Kα2).

Top 10 peaks for 5° ≤ 2θ ≤ 70°, by intensity:
2θ/deg, d_spacing, Rel. int.
15.74, 5.629, 100
44.11, 2.053, 13
43.38, 2.086, 6
63.78, 1.459, 6
31.79, 2.815, 5
64.35, 1.448, 5
61.83, 1.501, 4
40.60, 2.222, 4
26.97, 3.306, 4
59.08, 1.564, 4

Structural model:
Unit cell a=3.706 b=3.001 c=5.694 alpha=90.00 beta=98.62 gamma=90.00
Atoms (fractional coordinates):
Li  0.227  0.250  0.342
Li  0.773  0.750  0.658
Be  0.353  0.250  0.888
Be  0.647  0.750  0.112
B  0.118  0.750  0.026
B  0.882  0.250  0.974